1.
Starting from a PBE-relaxed structure, the powder diffraction line list of Be2Si2O5 was simulated for Cu Kα (weighted mean of Kα1 and Kα2).
Intensities are scaled so that the largest is 100.

Crystal structure
```
data_Be2Si2O5
_chemical_formula_sum 'Be2 Si2 O5'
_space_group_name_H-M_alt 'P 4/m m m'
_space_group_IT_number 123
_space_group_name_Hall '-P 4 2'
_cell_length_a 3.3313
_cell_length_b 3.3313
_cell_length_c 6.6810
_cell_angle_alpha 90.00
_cell_angle_beta 90.00
_cell_angle_gamma 90.00
loop_
_atom_site_label
_atom_site_type_symbol
_atom_site_fract_x
_atom_site_fract_y
_atom_site_fract_z
Be1 Be 0.0000 0.0000 0.2482
Si1 Si 0.5000 0.5000 0.0000
Si2 Si 0.5000 0.5000 0.5000
O1 O 0.0000 0.0000 0.5000
O2 O 0.0000 0.5000 0.1729
```

Largest 10 diffraction maxima, by intensity, 5 to 70 degrees two-theta:
d 1.925, I = 100, hkl 1 1 2
d 1.666, I = 67, hkl 2 0 0
d 2.359, I = 63, hkl 1 0 2
d 2.222, I = 37, hkl 1 1 1
d 1.362, I = 35, hkl 1 1 4
d 3.334, I = 28, hkl 1 0 0
d 2.227, I = 28, hkl 0 0 3
d 1.361, I = 23, hkl 2 1 2
d 6.681, I = 19, hkl 0 0 1
d 2.981, I = 12, hkl 1 0 1

2.
Starting from a PBE-relaxed structure, the powder diffraction line list of Sb was simulated for Cu Kα (weighted mean of Kα1 and Kα2).
Intensities are scaled so that the largest is 100.

Crystal structure
```
data_Sb
_chemical_formula_sum 'Sb1'
_space_group_name_H-M_alt 'P m -3 m'
_space_group_IT_number 221
_space_group_name_Hall '-P 4 2 3'
_cell_length_a 3.1027
_cell_length_b 3.1027
_cell_length_c 3.1027
_cell_angle_alpha 90.00
_cell_angle_beta 90.00
_cell_angle_gamma 90.00
loop_
_atom_site_label
_atom_site_type_symbol
_atom_site_fract_x
_atom_site_fract_y
_atom_site_fract_z
Sb1 Sb 0.0000 0.0000 0.0000
```

Largest 5 diffraction maxima, by intensity, 5 to 70 degrees two-theta:
d 3.103, I = 100, hkl 1 0 0
d 2.194, I = 76, hkl 1 1 0
d 1.388, I = 34, hkl 2 1 0
d 1.791, I = 27, hkl 1 1 1
d 1.551, I = 12, hkl 2 0 0

3.
Starting from a PBE-relaxed structure, the powder diffraction line list of K6NaAu2IO8 was simulated for Cu Kα (weighted mean of Kα1 and Kα2).
Intensities are scaled so that the largest is 100.

Crystal structure
```
data_K6NaAu2IO8
_chemical_formula_sum 'K12 Na2 Au4 I2 O16'
_space_group_name_H-M_alt 'P 1 2/c 1'
_space_group_IT_number 13
_space_group_name_Hall '-P 2yc'
_cell_length_a 7.1772
_cell_length_b 9.9779
_cell_length_c 12.1466
_cell_angle_alpha 90.00
_cell_angle_beta 122.90
_cell_angle_gamma 90.00
loop_
_atom_site_label
_atom_site_type_symbol
_atom_site_fract_x
_atom_site_fract_y
_atom_site_fract_z
K1 K 0.0000 0.1429 0.2500
K2 K 0.0120 0.1607 0.9107
K3 K 0.4733 0.3162 0.5880
K4 K 0.5000 0.3428 0.2500
Na1 Na 0.5000 0.0060 0.2500
Au1 Au 0.0000 0.4567 0.7500
Au2 Au 0.0000 0.5000 0.0000
I1 I 0.5000 0.0000 0.0000
O1 O 0.2168 0.4474 0.6903
O2 O 0.2630 0.0724 0.5132
O3 O 0.2895 0.0800 0.8335
O4 O 0.4993 0.1600 0.4091
```

Largest 10 diffraction maxima, by intensity, 5 to 70 degrees two-theta:
d 5.158, I = 100, hkl 1 1 0
d 2.912, I = 63, hkl 1 3 0
d 4.989, I = 48, hkl 0 2 0
d 3.013, I = 39, hkl 2 0 0
d 2.880, I = 33, hkl 1 1 -4
d 9.978, I = 26, hkl 0 1 0
d 2.239, I = 25, hkl 3 1 -4
d 2.479, I = 24, hkl 2 2 -4
d 2.270, I = 20, hkl 0 2 4
d 3.843, I = 17, hkl 1 2 0

4.
Starting from a PBE-relaxed structure, the powder diffraction line list of Ce8Ag6Ge8O was simulated for Cu Kα (weighted mean of Kα1 and Kα2).
Intensities are scaled so that the largest is 100.

Crystal structure
```
data_Ce8Ag6Ge8O
_chemical_formula_sum 'Ce16 Ag12 Ge16 O2'
_space_group_name_H-M_alt 'P m c 21'
_space_group_IT_number 26
_space_group_name_Hall 'P 2c -2'
_cell_length_a 4.3994
_cell_length_b 11.0907
_cell_length_c 20.6977
_cell_angle_alpha 90.00
_cell_angle_beta 90.00
_cell_angle_gamma 90.00
loop_
_atom_site_label
_atom_site_type_symbol
_atom_site_fract_x
_atom_site_fract_y
_atom_site_fract_z
Ce1 Ce 0.0000 0.0391 0.0000
Ce2 Ce 0.0000 0.2920 0.1333
Ce3 Ce 0.0000 0.3791 0.3179
Ce4 Ce 0.0000 0.3831 0.9539
Ce5 Ce 0.5000 0.1176 0.7445
Ce6 Ce 0.5000 0.1192 0.3842
Ce7 Ce 0.5000 0.2034 0.5620
Ce8 Ce 0.5000 0.4564 0.6987
Ag1 Ag 0.0000 0.0977 0.2545
Ag2 Ag 0.0000 0.3111 0.8022
Ag3 Ag 0.0000 0.4203 0.5709
Ag4 Ag 0.5000 0.0831 0.1311
Ag5 Ag 0.5000 0.1938 0.8949
Ag6 Ag 0.5000 0.4041 0.4444
Ge1 Ge 0.0000 0.0489 0.6387
Ge2 Ge 0.0000 0.0697 0.8519
Ge3 Ge 0.0000 0.2705 0.4567
Ge4 Ge 0.0000 0.2709 0.6735
Ge5 Ge 0.5000 0.2351 0.0263
Ge6 Ge 0.5000 0.2448 0.2409
Ge7 Ge 0.5000 0.4320 0.8462
Ge8 Ge 0.5000 0.4516 0.0608
O1 O 0.5000 0.0509 0.4881
```

Largest 10 diffraction maxima, by intensity, 5 to 70 degrees two-theta:
d 2.619, I = 100, hkl 1 3 3
d 2.649, I = 75, hkl 1 2 5
d 2.521, I = 70, hkl 0 1 8
d 2.200, I = 59, hkl 2 0 0
d 2.830, I = 49, hkl 1 3 0
d 2.715, I = 45, hkl 1 0 6
d 1.657, I = 39, hkl 2 1 8
d 3.266, I = 18, hkl 1 2 2
d 1.387, I = 17, hkl 1 3 13
d 2.868, I = 14, hkl 1 2 4

5.
Starting from a PBE-relaxed structure, the powder diffraction line list of Dy5Si10Ir4 was simulated for Cu Kα (weighted mean of Kα1 and Kα2).
Intensities are scaled so that the largest is 100.

Crystal structure
```
data_Dy5Si10Ir4
_chemical_formula_sum 'Dy10 Si20 Ir8'
_space_group_name_H-M_alt 'P 4/m b m'
_space_group_IT_number 127
_space_group_name_Hall '-P 4 2ab'
_cell_length_a 12.6291
_cell_length_b 12.6291
_cell_length_c 4.2737
_cell_angle_alpha 90.00
_cell_angle_beta 90.00
_cell_angle_gamma 90.00
loop_
_atom_site_label
_atom_site_type_symbol
_atom_site_fract_x
_atom_site_fract_y
_atom_site_fract_z
Dy1 Dy 0.0000 0.0000 0.0000
Dy2 Dy 0.1163 0.3837 0.5000
Dy3 Dy 0.1758 0.6758 0.5000
Si1 Si 0.0033 0.8430 0.5000
Si2 Si 0.0656 0.5656 0.0000
Si3 Si 0.1635 0.2007 0.0000
Ir1 Ir 0.0204 0.7545 0.0000
```

Largest 10 diffraction maxima, by intensity, 5 to 70 degrees two-theta:
d 2.539, I = 100, hkl 4 0 1
d 3.087, I = 36, hkl 2 2 1
d 2.490, I = 35, hkl 4 1 1
d 2.137, I = 34, hkl 0 0 2
d 2.443, I = 30, hkl 3 3 1
d 2.233, I = 25, hkl 4 4 0
d 4.465, I = 25, hkl 2 2 0
d 3.994, I = 23, hkl 3 1 0
d 3.855, I = 21, hkl 1 1 1
d 1.997, I = 17, hkl 6 2 0

6.
Starting from a PBE-relaxed structure, the powder diffraction line list of TlBi2Cl7 was simulated for Cu Kα (weighted mean of Kα1 and Kα2).
Intensities are scaled so that the largest is 100.

Crystal structure
```
data_TlBi2Cl7
_chemical_formula_sum 'Tl2 Bi4 Cl14'
_space_group_name_H-M_alt 'P -1'
_space_group_IT_number 2
_space_group_name_Hall '-P 1'
_cell_length_a 7.1842
_cell_length_b 8.8596
_cell_length_c 11.0017
_cell_angle_alpha 76.11
_cell_angle_beta 72.58
_cell_angle_gamma 73.27
loop_
_atom_site_label
_atom_site_type_symbol
_atom_site_fract_x
_atom_site_fract_y
_atom_site_fract_z
Tl1 Tl 0.0825 0.1717 0.1345
Bi1 Bi 0.3095 0.6335 0.1574
Bi2 Bi 0.4404 0.2568 0.5212
Cl1 Cl 0.0745 0.2557 0.7990
Cl2 Cl 0.2024 0.3520 0.3575
Cl3 Cl 0.2650 0.4867 0.9826
Cl4 Cl 0.2955 0.8406 0.3199
Cl5 Cl 0.3009 0.9529 0.6157
Cl6 Cl 0.3392 0.5528 0.6404
Cl7 Cl 0.3438 0.8751 0.9754
```

Largest 10 diffraction maxima, by intensity, 5 to 70 degrees two-theta:
d 5.062, I = 100, hkl 1 0 -1
d 3.560, I = 93, hkl 0 2 2
d 4.689, I = 93, hkl 1 0 2
d 4.179, I = 62, hkl 1 2 1
d 3.385, I = 35, hkl 1 2 -1
d 2.766, I = 32, hkl 2 0 3
d 2.466, I = 29, hkl 0 2 -3
d 2.489, I = 29, hkl 2 1 -2
d 2.212, I = 27, hkl 1 4 1
d 3.449, I = 27, hkl 0 0 3

7.
Starting from a PBE-relaxed structure, the powder diffraction line list of KPrEuSbO6 was simulated for Cu Kα (weighted mean of Kα1 and Kα2).
Intensities are scaled so that the largest is 100.

Crystal structure
```
data_KPrEuSbO6
_chemical_formula_sum 'K4 Pr4 Eu4 Sb4 O24'
_space_group_name_H-M_alt 'F -4 3 m'
_space_group_IT_number 216
_space_group_name_Hall 'F -4 2 3'
_cell_length_a 8.6397
_cell_length_b 8.6397
_cell_length_c 8.6397
_cell_angle_alpha 90.00
_cell_angle_beta 90.00
_cell_angle_gamma 90.00
loop_
_atom_site_label
_atom_site_type_symbol
_atom_site_fract_x
_atom_site_fract_y
_atom_site_fract_z
K1 K 0.0000 0.0000 0.0000
Pr1 Pr 0.2500 0.2500 0.7500
Eu1 Eu 0.0000 0.0000 0.5000
Sb1 Sb 0.2500 0.2500 0.2500
O1 O 0.0191 0.2500 0.2500
```

Largest 10 diffraction maxima, by intensity, 5 to 70 degrees two-theta:
d 3.055, I = 100, hkl 2 2 0
d 1.764, I = 40, hkl 4 2 2
d 2.160, I = 31, hkl 4 0 0
d 1.527, I = 19, hkl 4 4 0
d 1.366, I = 18, hkl 6 2 0
d 4.988, I = 14, hkl 1 1 1
d 2.605, I = 10, hkl 3 1 1
d 4.320, I = 8, hkl 2 0 0
d 1.982, I = 5, hkl 3 3 1
d 1.663, I = 3, hkl 3 3 3

8.
Starting from a PBE-relaxed structure, the powder diffraction line list of In2O3 was simulated for Cu Kα (weighted mean of Kα1 and Kα2).
Intensities are scaled so that the largest is 100.

Crystal structure
```
data_In2O3
_chemical_formula_sum 'In16 O24'
_space_group_name_H-M_alt 'P b c a'
_space_group_IT_number 61
_space_group_name_Hall '-P 2ac 2ab'
_cell_length_a 5.5898
_cell_length_b 5.7755
_cell_length_c 16.1353
_cell_angle_alpha 90.00
_cell_angle_beta 90.00
_cell_angle_gamma 90.00
loop_
_atom_site_label
_atom_site_type_symbol
_atom_site_fract_x
_atom_site_fract_y
_atom_site_fract_z
In1 In 0.0014 0.2074 0.0701
In2 In 0.0011 0.7383 0.6815
O1 O 0.1389 0.6275 0.2981
O2 O 0.1488 0.1541 0.9474
O3 O 0.2060 0.0182 0.6237
```

Largest 10 diffraction maxima, by intensity, 5 to 70 degrees two-theta:
d 2.846, I = 100, hkl 1 1 4
d 2.888, I = 25, hkl 0 2 0
d 1.623, I = 24, hkl 3 1 4
d 2.795, I = 24, hkl 2 0 0
d 2.008, I = 21, hkl 2 2 0
d 1.659, I = 17, hkl 1 3 4
d 1.636, I = 11, hkl 2 0 8
d 2.017, I = 11, hkl 0 0 8
d 1.654, I = 11, hkl 0 2 8
d 1.423, I = 10, hkl 2 2 8

9.
Starting from a PBE-relaxed structure, the powder diffraction line list of CS was simulated for Cu Kα (weighted mean of Kα1 and Kα2).
Intensities are scaled so that the largest is 100.

Crystal structure
```
data_CS
_chemical_formula_sum 'C2 S2'
_space_group_name_H-M_alt 'P 4/n m m'
_space_group_IT_number 129
_cell_length_a 3.5648
_cell_length_b 3.5648
_cell_length_c 4.1267
_cell_angle_alpha 90.00
_cell_angle_beta 90.00
_cell_angle_gamma 90.00
loop_
_space_group_symop_operation_xyz
'x,y,z'
'-x,-y,-z'
'-y+1/2,x,z'
'y+1/2,-x,-z'
'-x+1/2,-y+1/2,z'
'x+1/2,y+1/2,-z'
'y,-x+1/2,z'
'-y,x+1/2,-z'
'x+1/2,-y,-z'
'-x+1/2,y,z'
'-y,-x,-z'
'y,x,z'
'-x,y+1/2,-z'
'x,-y+1/2,z'
'y+1/2,x+1/2,-z'
'-y+1/2,-x+1/2,z'
loop_
_atom_site_label
_atom_site_type_symbol
_atom_site_fract_x
_atom_site_fract_y
_atom_site_fract_z
C1 C 0.2500 0.7500 0.0000
S1 S 0.2500 0.2500 0.1595
```

Largest 10 diffraction maxima, by intensity, 5 to 70 degrees two-theta:
d 2.698, I = 100, hkl 1 0 1
d 4.127, I = 96, hkl 0 0 1
d 1.786, I = 29, hkl 1 0 2
d 1.782, I = 29, hkl 2 0 0
d 1.487, I = 27, hkl 2 1 1
d 2.521, I = 26, hkl 1 1 0
d 1.636, I = 17, hkl 2 0 1
d 1.597, I = 11, hkl 1 1 2
d 2.151, I = 4, hkl 1 1 1
d 1.376, I = 2, hkl 0 0 3

10.
Starting from a PBE-relaxed structure, the powder diffraction line list of MnSnTe2 was simulated for Cu Kα (weighted mean of Kα1 and Kα2).
Intensities are scaled so that the largest is 100.

Crystal structure
```
data_MnSnTe2
_chemical_formula_sum 'Mn3 Sn3 Te6'
_space_group_name_H-M_alt 'R -3 m'
_space_group_IT_number 166
_space_group_name_Hall '-R 3 2"'
_cell_length_a 4.0662
_cell_length_b 4.0662
_cell_length_c 20.6114
_cell_angle_alpha 90.00
_cell_angle_beta 90.00
_cell_angle_gamma 120.00
loop_
_atom_site_label
_atom_site_type_symbol
_atom_site_fract_x
_atom_site_fract_y
_atom_site_fract_z
Mn1 Mn 0.0000 0.0000 0.0000
Sn1 Sn 0.0000 0.0000 0.5000
Te1 Te 0.0000 0.0000 0.2718
```

Largest 10 diffraction maxima, by intensity, 5 to 70 degrees two-theta:
d 2.907, I = 100, hkl 1 0 4
d 2.033, I = 43, hkl 1 1 0
d 2.678, I = 26, hkl 0 1 5
d 2.079, I = 22, hkl 0 1 8
d 1.666, I = 19, hkl 0 2 4
d 1.520, I = 17, hkl 1 1 9
d 2.290, I = 10, hkl 0 0 9
d 3.471, I = 10, hkl 1 0 1
d 1.446, I = 8, hkl 1 0 13
d 1.454, I = 7, hkl 2 0 8